Starting from the GGA+U geometry in Alexandria, the powder diffractogram of HfMnOsO6 was calculated for copper Kα.
Peak positions follow from Bragg's law for the DFT cell and can differ from measured ones.

Cell lengths 5.2424, 5.2424, 9.2062 Å; angles 90.00, 90.00, 120.00 degrees
Space group P-31c (No. 163)
Symmetry-distinct sites (fractional):
Hf1 0.3333 0.6667 0.2500 x2
Mn1 0.0000 0.0000 0.0000 x2
Os1 0.3333 0.6667 0.7500 x2
O1 0.0193 0.3601 0.6327 x12

Main lines, in order of rising 2θ (5 to 70 degrees two-theta):
- 19.28°, intensity 68, hkl 0 0 2
- 19.55°, intensity 34, hkl 1 0 0
- 27.60°, intensity 100, hkl 1 0 2
- 34.21°, intensity 68, hkl 1 1 0
- 39.57°, intensity 66, hkl 1 1 2
- 44.50°, intensity 27, hkl 2 0 2
- 52.94°, intensity 61, hkl 1 1 4
- 57.30°, intensity 25, hkl 2 1 2